# Cs4U2V2O13
Simulated X-ray powder pattern, copper Kα. Input: a structure optimized by DFT (PBE+U).
Peak positions follow from Bragg's law for the DFT cell and can differ from measured ones.

Largest 10 diffraction maxima, sorted by position, 2θ = 15–90°:
h k l  2θ (°)  I (rel.)
2 0 1  24.10  34.0
2 1 1  24.96  15.7
1 3 1  25.05  12.6
0 4 0  25.78  24.9
0 2 2  27.37  100.0
2 3 1  31.04  11.6
4 0 0  42.40  20.1
4 4 0  50.28  15.6
4 2 2  51.22  14.0
0 8 1  54.53  11.5

Crystal structure
```
42
Lattice="8.5204 0.0000 0.0000 0.0000 13.8209 0.0000 0.0000 0.0000 7.3988" Properties=species:S:1:pos:R:3 pbc="T T T"
Cs 2.1301 0.7562 0.1442
Cs 2.1301 3.4552 4.6857
Cs 2.1301 6.1543 0.1442
Cs 2.1301 10.3657 1.8678
Cs 6.3903 3.4552 5.5311
Cs 6.3903 7.6667 7.2547
Cs 6.3903 10.3657 2.7132
Cs 6.3903 13.0648 7.2547
U 0.0000 0.0000 3.6994
U 0.0000 6.9105 3.6994
U 4.2602 0.0000 3.6994
U 4.2602 6.9105 3.6994
V 0.3438 10.3657 5.7473
V 3.9164 10.3657 5.7473
V 4.6040 3.4552 1.6515
V 8.1766 3.4552 1.6515
O 0.1003 2.0371 2.5606
O 0.1003 4.8734 2.5606
O 0.2244 7.8382 2.0736
O 0.2244 12.8932 2.0736
O 0.4553 3.4552 0.1769
O 2.1301 0.1232 3.9596
O 2.1301 6.7873 3.9596
O 2.1301 10.3657 6.1001
O 3.8049 3.4552 0.1769
O 4.0358 7.8382 2.0736
O 4.0358 12.8932 2.0736
O 4.1599 2.0371 2.5606
O 4.1599 4.8734 2.5606
O 4.3605 8.9476 4.8382
O 4.3605 11.7838 4.8382
O 4.4846 0.9277 5.3253
O 4.4846 5.9827 5.3253
O 4.7155 10.3657 7.2220
O 6.3903 3.4552 1.2988
O 6.3903 7.0336 3.4393
O 6.3903 13.6978 3.4393
O 8.0651 10.3657 7.2220
O 8.2960 0.9277 5.3253
O 8.2960 5.9827 5.3253
O 8.4201 8.9476 4.8382
O 8.4201 11.7838 4.8382
```